# 1
This entry pairs a crystal structure of MgB9N with its computed powder diffraction line list. Radiation: Cu Kα (λ = 1.5418 Å). Structure: a structure optimized by DFT (GGA-PBE).

Structural model:
```
data_MgB9N
_cell_length_a 7.3977
_cell_length_b 7.3977
_cell_length_c 7.3977
_cell_angle_alpha 43.60
_cell_angle_beta 43.60
_cell_angle_gamma 43.60
_symmetry_space_group_name_H-M 'P 1'
_symmetry_Int_Tables_number 1
loop_
_symmetry_equiv_pos_as_xyz
'x,y,z'
loop_
_atom_site_label
_atom_site_type_symbol
_atom_site_fract_x
_atom_site_fract_y
_atom_site_fract_z
_atom_site_occupancy
Mg1 Mg 0.1956 0.1956 0.1956 1
Mg2 Mg 0.8044 0.8044 0.8044 1
B1 B 0.1478 0.8247 0.8247 1
B2 B 0.1609 0.1609 0.6300 1
B3 B 0.1609 0.6300 0.1609 1
B4 B 0.1753 0.1753 0.8522 1
B5 B 0.1753 0.8522 0.1753 1
B6 B 0.3242 0.6422 0.6422 1
B7 B 0.3578 0.3578 0.6758 1
B8 B 0.3578 0.6758 0.3578 1
B9 B 0.3700 0.8391 0.8391 1
B10 B 0.6300 0.1609 0.1609 1
B11 B 0.6422 0.3242 0.6422 1
B12 B 0.6422 0.6422 0.3242 1
B13 B 0.6758 0.3578 0.3578 1
B14 B 0.8247 0.1478 0.8247 1
B15 B 0.8247 0.8247 0.1478 1
B16 B 0.8391 0.3700 0.8391 1
B17 B 0.8391 0.8391 0.3700 1
B18 B 0.8522 0.1753 0.1753 1
N1 N 0.3005 0.3005 0.3005 1
N2 N 0.6995 0.6995 0.6995 1
```

Main lines, sorted by position (2θ = 10–80°):
d/Å, 2theta, Rel. int.
3.451, 25.8, 35
2.747, 32.6, 59
2.541, 35.3, 30
2.315, 38.9, 100
2.217, 40.7, 77
1.339, 70.3, 26

---

# 2
This entry pairs a crystal structure of Ba3Si6N4O9 with its computed powder diffraction line list. Radiation: Cu Kα (λ = 1.5418 Å). Structure: a structure optimized by DFT (GGA-PBE).

Structural model:
```
data_Ba3Si6N4O9
_cell_length_a 7.3237
_cell_length_b 7.3237
_cell_length_c 6.8852
_cell_angle_alpha 90.00
_cell_angle_beta 90.00
_cell_angle_gamma 120.00
_symmetry_space_group_name_H-M 'P 1'
_symmetry_Int_Tables_number 1
loop_
_symmetry_equiv_pos_as_xyz
'x,y,z'
loop_
_atom_site_label
_atom_site_type_symbol
_atom_site_fract_x
_atom_site_fract_y
_atom_site_fract_z
_atom_site_occupancy
Ba1 Ba 0.0000 0.0000 0.0000 1
Ba2 Ba 0.3333 0.6667 0.0614 1
Ba3 Ba 0.6667 0.3333 0.8738 1
Si1 Si 0.1176 0.4078 0.5693 1
Si2 Si 0.2902 0.8824 0.5693 1
Si3 Si 0.4137 0.2936 0.3583 1
Si4 Si 0.5922 0.7098 0.5693 1
Si5 Si 0.7064 0.1201 0.3583 1
Si6 Si 0.8799 0.5863 0.3583 1
N1 N 0.0921 0.6280 0.5053 1
N2 N 0.3720 0.4641 0.5053 1
N3 N 0.5359 0.9079 0.5053 1
N4 N 0.6667 0.3333 0.4076 1
O1 O 0.0591 0.3496 0.7951 1
O2 O 0.2570 0.0417 0.4185 1
O3 O 0.2905 0.9409 0.7951 1
O4 O 0.3773 0.3236 0.1317 1
O5 O 0.6504 0.7095 0.7951 1
O6 O 0.6764 0.0537 0.1317 1
O7 O 0.7847 0.7430 0.4185 1
O8 O 0.9463 0.6227 0.1317 1
O9 O 0.9583 0.2153 0.4185 1
```

Main lines, sorted by position (2θ = 10–80°):
d/Å, 2theta, Rel. int.
3.662, 24.3, 37
3.233, 27.6, 100
3.026, 29.5, 45
2.880, 31.0, 22
2.114, 42.8, 23
2.021, 44.8, 22

---

# 3
This entry pairs a crystal structure of BaAgAs with its computed powder diffraction line list. Radiation: Cu Kα (λ = 1.5418 Å). Structure: a structure optimized by DFT (GGA-PBE).

Structural model:
```
data_BaAgAs
_cell_length_a 4.6728
_cell_length_b 4.6728
_cell_length_c 9.1204
_cell_angle_alpha 90.00
_cell_angle_beta 90.00
_cell_angle_gamma 120.00
_symmetry_space_group_name_H-M 'P 1'
_symmetry_Int_Tables_number 1
loop_
_symmetry_equiv_pos_as_xyz
'x,y,z'
loop_
_atom_site_label
_atom_site_type_symbol
_atom_site_fract_x
_atom_site_fract_y
_atom_site_fract_z
_atom_site_occupancy
Ba1 Ba 0.0000 0.0000 0.0000 1
Ba2 Ba 0.0000 0.0000 0.5000 1
Ag1 Ag 0.3333 0.6667 0.2500 1
Ag2 Ag 0.6667 0.3333 0.7500 1
As1 As 0.3333 0.6667 0.7500 1
As2 As 0.6667 0.3333 0.2500 1
```

Main lines, sorted by position (2θ = 10–80°):
d/Å, 2theta, Rel. int.
3.027, 29.5, 100
2.336, 38.5, 49
2.280, 39.5, 15
1.849, 49.3, 23
1.632, 56.4, 31
1.450, 64.2, 21

---

# 4
This entry pairs a crystal structure of ZnSe2O10 with its computed powder diffraction line list. Radiation: Cu Kα (λ = 1.5418 Å). Structure: a structure optimized by DFT (GGA-PBE).

Structural model:
```
data_ZnSe2O10
_cell_length_a 8.3088
_cell_length_b 8.3088
_cell_length_c 10.6351
_cell_angle_alpha 124.72
_cell_angle_beta 124.72
_cell_angle_gamma 56.35
_symmetry_space_group_name_H-M 'P 1'
_symmetry_Int_Tables_number 1
loop_
_symmetry_equiv_pos_as_xyz
'x,y,z'
loop_
_atom_site_label
_atom_site_type_symbol
_atom_site_fract_x
_atom_site_fract_y
_atom_site_fract_z
_atom_site_occupancy
Zn1 Zn 0.0415 0.9585 0.7500 1
Zn2 Zn 0.9585 0.0415 0.2500 1
Se1 Se 0.0393 0.2933 0.6491 1
Se2 Se 0.2933 0.0393 0.1491 1
Se3 Se 0.7067 0.9607 0.8509 1
Se4 Se 0.9607 0.7067 0.3509 1
O1 O 0.0749 0.1296 0.1833 1
O2 O 0.0837 0.2159 0.4793 1
O3 O 0.1296 0.0749 0.6833 1
O4 O 0.1800 0.4461 0.8081 1
O5 O 0.2159 0.0837 0.9793 1
O6 O 0.3316 0.6684 0.2500 1
O7 O 0.3801 0.4510 0.1316 1
O8 O 0.4024 0.5976 0.7500 1
O9 O 0.4461 0.1800 0.3081 1
O10 O 0.4510 0.3801 0.6316 1
O11 O 0.5490 0.6199 0.3684 1
O12 O 0.5539 0.8200 0.6919 1
O13 O 0.5976 0.4024 0.2500 1
O14 O 0.6199 0.5490 0.8684 1
O15 O 0.6684 0.3316 0.7500 1
O16 O 0.7841 0.9163 0.0207 1
O17 O 0.8200 0.5539 0.1919 1
O18 O 0.8704 0.9251 0.3167 1
O19 O 0.9163 0.7841 0.5207 1
O20 O 0.9251 0.8704 0.8167 1
```

Main lines, sorted by position (2θ = 10–80°):
d/Å, 2theta, Rel. int.
6.422, 13.8, 83
4.059, 21.9, 52
3.656, 24.3, 61
3.457, 25.8, 100
2.969, 30.1, 27
2.644, 33.9, 30

---

# 5
This entry pairs a crystal structure of Fe11Si5 with its computed powder diffraction line list. Radiation: Cu Kα (λ = 1.5418 Å). Structure: a structure optimized by DFT (GGA-PBE).

Structural model:
```
data_Fe11Si5
_cell_length_a 5.5701
_cell_length_b 5.5701
_cell_length_c 5.5701
_cell_angle_alpha 90.00
_cell_angle_beta 90.00
_cell_angle_gamma 90.00
_symmetry_space_group_name_H-M 'P 1'
_symmetry_Int_Tables_number 1
loop_
_symmetry_equiv_pos_as_xyz
'x,y,z'
loop_
_atom_site_label
_atom_site_type_symbol
_atom_site_fract_x
_atom_site_fract_y
_atom_site_fract_z
_atom_site_occupancy
Fe1 Fe 0.0000 0.0000 0.5000 1
Fe2 Fe 0.0000 0.5000 0.0000 1
Fe3 Fe 0.2528 0.2528 0.2528 1
Fe4 Fe 0.2528 0.2528 0.7472 1
Fe5 Fe 0.2528 0.7472 0.2528 1
Fe6 Fe 0.2528 0.7472 0.7472 1
Fe7 Fe 0.5000 0.0000 0.0000 1
Fe8 Fe 0.7472 0.2528 0.2528 1
Fe9 Fe 0.7472 0.2528 0.7472 1
Fe10 Fe 0.7472 0.7472 0.2528 1
Fe11 Fe 0.7472 0.7472 0.7472 1
Si1 Si 0.0000 0.0000 0.0000 1
Si2 Si 0.0000 0.5000 0.5000 1
Si3 Si 0.5000 0.0000 0.5000 1
Si4 Si 0.5000 0.5000 0.0000 1
Si5 Si 0.5000 0.5000 0.5000 1
```

Main lines, sorted by position (2θ = 10–80°):
d/Å, 2theta, Rel. int.
3.216, 27.7, 4
2.785, 32.1, 5
1.969, 46.1, 100
1.679, 54.6, 1
1.393, 67.2, 15
1.246, 76.5, 1

---

# 6
This entry pairs a crystal structure of SmGePd2 with its computed powder diffraction line list. Radiation: Cu Kα (λ = 1.5418 Å). Structure: a structure optimized by DFT (GGA-PBE).

Structural model:
```
data_SmGePd2
_cell_length_a 7.4786
_cell_length_b 7.1256
_cell_length_c 5.7278
_cell_angle_alpha 90.00
_cell_angle_beta 90.00
_cell_angle_gamma 90.00
_symmetry_space_group_name_H-M 'P 1'
_symmetry_Int_Tables_number 1
loop_
_symmetry_equiv_pos_as_xyz
'x,y,z'
loop_
_atom_site_label
_atom_site_type_symbol
_atom_site_fract_x
_atom_site_fract_y
_atom_site_fract_z
_atom_site_occupancy
Sm1 Sm 0.0234 0.2500 0.1445 1
Sm2 Sm 0.4766 0.7500 0.6445 1
Sm3 Sm 0.5234 0.2500 0.3555 1
Sm4 Sm 0.9766 0.7500 0.8555 1
Ge1 Ge 0.1222 0.7500 0.3582 1
Ge2 Ge 0.3778 0.2500 0.8582 1
Ge3 Ge 0.6222 0.7500 0.1418 1
Ge4 Ge 0.8778 0.2500 0.6418 1
Pd1 Pd 0.1822 0.0524 0.5884 1
Pd2 Pd 0.1822 0.4476 0.5884 1
Pd3 Pd 0.3178 0.5524 0.0884 1
Pd4 Pd 0.3178 0.9476 0.0884 1
Pd5 Pd 0.6822 0.0524 0.9116 1
Pd6 Pd 0.6822 0.4476 0.9116 1
Pd7 Pd 0.8178 0.5524 0.4116 1
Pd8 Pd 0.8178 0.9476 0.4116 1
```

Main lines, sorted by position (2θ = 10–80°):
d/Å, 2theta, Rel. int.
2.867, 31.2, 55
2.579, 34.8, 73
2.504, 35.9, 100
2.352, 38.3, 44
2.286, 39.4, 66
2.105, 43.0, 42